Starting from a cell relaxed with GGA-PBE, the powder XRD pattern of Tb2DyHoMg was computed for Cu Ka.
Lines closer than 0.1° are merged.

Largest 10 diffraction maxima, by angle, 15 to 90 degrees two-theta:
d_spacing  2θ/deg  I/Imax
4.005  22.2  11.2
3.078  29.0  12.9
3.052  29.3  22.7
2.780  32.2  37.1
2.693  33.3  49.5
2.676  33.5  100.0
2.055  44.1  14.9
1.584  58.2  20.6
1.493  62.2  11.2
1.484  62.6  19.0

Atomic structure:
Cell lengths 6.0955, 5.5600, 9.3597 Å; angles 90.00, 108.54, 90.00 degrees
Space group P2_1/m (No. 11)
Symmetry-distinct sites (fractional):
Tb  0.0498  0.2500  0.2979 (multiplicity 2)
Tb  0.1254  0.7500  0.1037 (multiplicity 2)
Dy  0.4641  0.2500  0.1072 (multiplicity 2)
Ho  0.3325  0.7500  0.5033 (multiplicity 2)
Mg  0.2764  0.2500  0.6986 (multiplicity 2)



Starting from a cell relaxed with GGA-PBE, the powder XRD pattern of TbDy2Ho2Mg was computed for Cu Ka.
Lines closer than 0.1° are merged.

Largest 10 diffraction maxima, by angle, 15 to 90 degrees two-theta:
d_spacing  2θ/deg  I/Imax
5.076  17.5  39.2
4.697  18.9  71.0
2.951  30.3  32.7
2.935  30.5  76.8
2.856  31.3  100.0
2.809  31.9  41.0
2.559  35.1  79.8
2.425  37.1  62.4
2.349  38.3  77.1
1.514  61.2  35.4

Atomic structure:
Cell lengths 10.2606, 11.6823, 3.5969 Å; angles 90.00, 90.00, 90.00 degrees
Space group Pnnm (No. 58)
Symmetry-distinct sites (fractional):
Tb  0.0000  0.0000  0.0000 (multiplicity 2)
Dy  0.0930  0.2245  0.5000 (multiplicity 4)
Ho  0.2492  0.4285  0.0000 (multiplicity 4)
Mg  0.0000  0.5000  0.5000 (multiplicity 2)



Starting from a cell relaxed with GGA-PBE, the powder XRD pattern of Dy2Y2HoMg5 was computed for Cu Ka.
Lines closer than 0.1° are merged.

Largest 10 diffraction maxima, by angle, 15 to 90 degrees two-theta:
d_spacing  2θ/deg  I/Imax
5.052  17.6  77.9
3.348  26.6  42.7
3.008  29.7  21.2
2.936  30.4  15.1
2.791  32.1  100.0
2.539  35.4  42.9
2.526  35.5  30.0
2.016  45.0  20.9
1.920  47.3  13.9
1.505  61.6  17.4

Atomic structure:
Cell lengths 10.5865, 10.5865, 5.0523 Å; angles 90.00, 90.00, 90.00 degrees
Space group P4/mbm (No. 127)
Symmetry-distinct sites (fractional):
Dy  0.1188  0.3812  0.0000 (multiplicity 4)
Y  0.1784  0.6784  0.0000 (multiplicity 4)
Ho  0.0000  0.0000  0.0000 (multiplicity 2)
Mg  0.0000  0.5000  0.5000 (multiplicity 2)
Mg  0.0682  0.1972  0.5000 (multiplicity 8)



Starting from a cell relaxed with GGA-PBE, the powder XRD pattern of Dy4YHo2Mg was computed for Cu Ka.
Lines closer than 0.1° are merged.

Largest 10 diffraction maxima, by angle, 15 to 90 degrees two-theta:
d_spacing  2θ/deg  I/Imax
4.960  17.9  3.9
4.435  20.0  10.8
2.863  31.2  100.0
2.480  36.2  50.5
1.753  52.2  35.6
1.495  62.1  42.1
1.432  65.2  12.1
1.240  76.9  5.6
1.138  85.3  17.6
1.109  88.1  16.5

Atomic structure:
Cell lengths 4.9587, 4.9587, 9.9198 Å; angles 90.00, 90.00, 90.00 degrees
Space group P4/mmm (No. 123)
Symmetry-distinct sites (fractional):
Dy  0.0000  0.5000  0.2471 (multiplicity 4)
Y  0.0000  0.0000  0.5000 (multiplicity 1)
Ho  0.0000  0.0000  0.0000 (multiplicity 1)
Ho  0.5000  0.5000  0.5000 (multiplicity 1)
Mg  0.5000  0.5000  0.0000 (multiplicity 1)



Starting from a cell relaxed with GGA-PBE, the powder XRD pattern of DyHoMn17 was computed for Cu Ka.
Lines closer than 0.1° are merged.

Largest 10 diffraction maxima, by angle, 15 to 90 degrees two-theta:
d_spacing  2θ/deg  I/Imax
2.885  31.0  45.7
2.746  32.6  28.0
2.492  36.0  48.6
2.296  39.2  64.3
2.158  41.9  89.5
2.097  43.1  100.0
2.027  44.7  33.6
1.975  45.9  21.3
1.504  61.7  27.7
1.148  84.4  20.0

Atomic structure:
Cell lengths 8.6339, 8.6339, 11.6334 Å; angles 90.00, 90.00, 120.00 degrees
Space group R3m (No. 160, hexagonal axes)
Symmetry-distinct sites (fractional):
Dy  0.0000  0.0000  0.0000 (multiplicity 3)
Ho  0.0000  0.0000  0.2900 (multiplicity 3)
Mn  0.0000  0.0000  0.5451 (multiplicity 3)
Mn  0.0000  0.0000  0.7444 (multiplicity 3)
Mn  0.9999  0.2754  0.6447 (multiplicity 18)
Mn  0.0001  0.5001  0.1447 (multiplicity 9)
Mn  0.0138  0.5069  0.5075 (multiplicity 9)
Mn  0.1737  0.3474  0.1155 (multiplicity 9)



Starting from a cell relaxed with GGA-PBE, the powder XRD pattern of DyHoMn was computed for Cu Ka.
Lines closer than 0.1° are merged.

Largest 10 diffraction maxima, by angle, 15 to 90 degrees two-theta:
d_spacing  2θ/deg  I/Imax
3.218  27.7  47.5
3.171  28.1  74.7
2.896  30.9  100.0
2.827  31.6  99.6
2.705  33.1  94.2
2.485  36.1  68.4
2.334  38.6  52.4
2.189  41.3  50.3
1.685  54.4  40.5
1.674  54.8  51.2

Atomic structure:
Cell lengths 6.5829, 12.1875, 7.5804 Å; angles 90.00, 90.00, 90.00 degrees
Space group Cmce (No. 64)
Symmetry-distinct sites (fractional):
Dy  0.0000  0.1944  0.1089 (multiplicity 8)
Ho  0.2500  0.0497  0.7500 (multiplicity 8)
Mn  0.0000  0.0975  0.4488 (multiplicity 8)



Starting from a cell relaxed with GGA-PBE, the powder XRD pattern of DyHo3N4 was computed for Cu Ka.
Lines closer than 0.1° are merged.

Largest 8 diffraction maxima, by angle, 15 to 90 degrees two-theta:
d_spacing  2θ/deg  I/Imax
2.822  31.7  100.0
2.444  36.8  70.9
1.728  53.0  48.8
1.474  63.1  44.5
1.411  66.2  16.4
1.222  78.2  7.6
1.121  86.9  19.3
1.093  89.7  22.5

Atomic structure:
Cell lengths 4.8877, 4.8877, 4.8877 Å; angles 90.00, 90.00, 90.00 degrees
Space group Pm-3m (No. 221)
Symmetry-distinct sites (fractional):
Dy  0.0000  0.0000  0.0000 (multiplicity 1)
Ho  0.0000  0.5000  0.5000 (multiplicity 3)
N  0.0000  0.0000  0.5000 (multiplicity 3)
N  0.5000  0.5000  0.5000 (multiplicity 1)



Starting from a cell relaxed with GGA-PBE, the powder XRD pattern of Dy3HoN4 was computed for Cu Ka.
Lines closer than 0.1° are merged.

Largest 8 diffraction maxima, by angle, 15 to 90 degrees two-theta:
d_spacing  2θ/deg  I/Imax
2.831  31.6  100.0
2.452  36.6  71.2
1.734  52.8  49.0
1.479  62.8  44.6
1.416  66.0  16.4
1.226  77.9  7.6
1.125  86.5  19.2
1.097  89.3  22.5

Atomic structure:
Cell lengths 6.0054, 6.9376, 6.0054 Å; angles 90.00, 109.46, 90.00 degrees
Space group P2/c (No. 13)
Symmetry-distinct sites (fractional):
Dy  0.0000  0.1252  0.2500 (multiplicity 2)
Dy  0.0000  0.3753  0.7500 (multiplicity 2)
Dy  0.5000  0.1251  0.7500 (multiplicity 2)
Ho  0.5000  0.3754  0.2500 (multiplicity 2)
N  0.2503  0.1253  0.0007 (multiplicity 4)
N  0.2511  0.3759  0.4997 (multiplicity 4)



Starting from a cell relaxed with GGA-PBE, the powder XRD pattern of Dy3HoN3 was computed for Cu Ka.
Lines closer than 0.1° are merged.

Largest 10 diffraction maxima, by angle, 15 to 90 degrees two-theta:
d_spacing  2θ/deg  I/Imax
3.456  25.8  36.5
2.840  31.5  100.0
2.492  36.0  20.1
2.021  44.8  16.2
1.995  45.5  31.1
1.633  56.4  20.0
1.558  59.3  27.8
1.497  62.0  15.1
1.264  75.2  17.3
1.198  80.1  7.4

Atomic structure:
Cell lengths 7.9809, 7.9809, 4.9845 Å; angles 90.00, 90.00, 120.00 degrees
Space group P6_3/mmc (No. 194)
Symmetry-distinct sites (fractional):
Dy  0.1646  0.3292  0.2500 (multiplicity 6)
Ho  0.3333  0.6667  0.7500 (multiplicity 2)
N  0.1657  0.3314  0.7500 (multiplicity 6)



Starting from a cell relaxed with GGA-PBE, the powder XRD pattern of DyHo3N4 was computed for Cu Ka.
Lines closer than 0.1° are merged.

Largest 8 diffraction maxima, by angle, 15 to 90 degrees two-theta:
d_spacing  2θ/deg  I/Imax
2.822  31.7  100.0
2.444  36.8  70.9
1.728  53.0  48.8
1.474  63.1  44.5
1.411  66.2  16.4
1.222  78.2  7.6
1.121  86.9  19.3
1.093  89.7  22.5

Atomic structure:
Cell lengths 5.9850, 6.9140, 5.9851 Å; angles 90.00, 109.46, 90.00 degrees
Space group P2/c (No. 13)
Symmetry-distinct sites (fractional):
Dy  0.0000  0.1252  0.2500 (multiplicity 2)
Ho  0.0000  0.3753  0.7500 (multiplicity 2)
Ho  0.5000  0.1252  0.7500 (multiplicity 2)
Ho  0.5000  0.3753  0.2500 (multiplicity 2)
N  0.2503  0.3757  0.5007 (multiplicity 4)
N  0.2511  0.1255  0.9999 (multiplicity 4)



Starting from a cell relaxed with GGA-PBE, the powder XRD pattern of Dy5Ho3N8 was computed for Cu Ka.
Lines closer than 0.1° are merged.

Largest 8 diffraction maxima, by angle, 15 to 90 degrees two-theta:
d_spacing  2θ/deg  I/Imax
2.829  31.6  100.0
2.450  36.7  71.1
1.733  52.8  48.9
1.478  62.9  44.6
1.415  66.0  16.4
1.225  78.0  7.6
1.124  86.6  19.2
1.096  89.4  22.5

Atomic structure:
Cell lengths 6.9301, 6.9301, 16.9757 Å; angles 90.00, 90.00, 120.00 degrees
Space group R-3m (No. 166, hexagonal axes)
Symmetry-distinct sites (fractional):
Dy  0.0000  0.0000  0.0000 (multiplicity 3)
Dy  0.0000  0.0000  0.5000 (multiplicity 3)
Dy  0.0000  0.5000  0.0000 (multiplicity 9)
Ho  0.0000  0.5000  0.5000 (multiplicity 9)
N  0.0000  0.0000  0.2495 (multiplicity 6)
N  0.0006  0.5003  0.7503 (multiplicity 18)



Starting from a cell relaxed with GGA-PBE, the powder XRD pattern of DyHoTm2N4 was computed for Cu Ka.
Lines closer than 0.1° are merged.

Largest 7 diffraction maxima, by angle, 15 to 90 degrees two-theta:
d_spacing  2θ/deg  I/Imax
2.803  31.9  100.0
2.427  37.0  70.5
1.716  53.4  48.4
1.464  63.6  44.4
1.401  66.8  16.2
1.214  78.9  7.6
1.114  87.6  19.4

Atomic structure:
Cell lengths 5.9442, 3.4330, 5.9447 Å; angles 90.00, 109.45, 90.00 degrees
Space group P2/m (No. 10)
Symmetry-distinct sites (fractional):
Dy  0.0000  0.0000  0.0000 (multiplicity 1)
Ho  0.5000  0.5000  0.0000 (multiplicity 1)
Tm  0.0000  0.5000  0.5000 (multiplicity 1)
Tm  0.5000  0.0000  0.5000 (multiplicity 1)
N  0.2495  0.0000  0.7467 (multiplicity 2)
N  0.2519  0.5000  0.2538 (multiplicity 2)